Entry 1:
The following is a simulated powder X-ray diffraction pattern of PuPd8Au6. It was derived from a structure optimized by DFT (PBE), using copper Kα.
Neutral-atom scattering factors, no anomalous dispersion.

Top 8 peaks for 2θ from 15° to 90°, in order of rising 2θ:
31.9°, rel. 177, hkl 2 0 1; 35.2°, rel. 131, hkl 0 0 2; 35.3°, rel. 361, hkl 1 2 0; 37.7°, rel. 184, hkl 1 0 2; 39.6°, rel. 1000, hkl 3 -2 1; 42.4°, rel. 206, hkl 1 1 2; 50.7°, rel. 181, hkl 3 -2 2; 63.3°, rel. 171, hkl 1 4 0

Structure:
a = 7.7693 Å, b = 7.7693 Å, c = 5.1009 Å
α = 90.00°, β = 90.00°, γ = 120.00°
Space group P-3 (No. 147)
Asymmetric unit:
Pu: 0.0000 0.0000 0.0000 (multiplicity 1)
Pd: 0.0479 0.2838 0.3203 (multiplicity 6)
Pd: 0.3333 0.6667 0.3012 (multiplicity 2)
Au: 0.1059 0.4615 0.8095 (multiplicity 6)

Entry 2:
The following is a simulated powder X-ray diffraction pattern of KBi2Te2. It was derived from a structure optimized by DFT (PBE), using copper Kα.
Neutral-atom scattering factors, no anomalous dispersion.

Top 8 peaks for 2θ from 15° to 90°, in order of rising 2θ:
16.8°, rel. 524, hkl 1 0 1; 17.4°, rel. 421, hkl 0 0 2; 28.9°, rel. 1000, hkl 2 0 0; 30.0°, rel. 714, hkl 1 0 3; 33.9°, rel. 332, hkl 2 0 2; 41.0°, rel. 428, hkl 1 1 4; 41.3°, rel. 384, hkl 2 2 0; 42.2°, rel. 577, hkl 2 1 3

Structure:
a = 6.1853 Å, b = 6.1853 Å, c = 10.1782 Å
α = 90.00°, β = 90.00°, γ = 90.00°
Space group I4/mmm (No. 139)
Asymmetric unit:
K: 0.0000 0.0000 0.0000 (multiplicity 2)
Bi: 0.0000 0.0000 0.3463 (multiplicity 4)
Te: 0.0000 0.5000 0.2500 (multiplicity 4)

Entry 3:
The following is a simulated powder X-ray diffraction pattern of Cs8RbHg2Au3. It was derived from a structure optimized by DFT (PBE), using copper Kα.
Neutral-atom scattering factors, no anomalous dispersion.

Top 8 peaks for 2θ from 15° to 90°, in order of rising 2θ:
19.1°, rel. 475, hkl 1 1 3; 22.8°, rel. 1000, hkl 0 2 4; 27.8°, rel. 434, hkl 0 2 7; 29.9°, rel. 588, hkl 2 0 8; 30.4°, rel. 213, hkl 1 1 9; 34.8°, rel. 653, hkl 2 2 0; 42.0°, rel. 223, hkl 4 0 4; 55.7°, rel. 245, hkl 2 4 4

Structure:
a = 10.3091 Å, b = 10.3091 Å, c = 32.2118 Å
α = 90.00°, β = 90.00°, γ = 120.00°
Space group R3m (No. 160, hexagonal axes)
Asymmetric unit:
Cs: 0.0000 0.0000 0.0000 (multiplicity 3)
Cs: 0.0000 0.0000 0.4426 (multiplicity 3)
Cs: 0.0163 0.5082 0.9996 (multiplicity 9)
Cs: 0.1757 0.3514 0.8069 (multiplicity 9)
Rb: 0.0000 0.0000 0.5650 (multiplicity 3)
Hg: 0.0000 0.0000 0.2392 (multiplicity 3)
Hg: 0.0000 0.0000 0.8833 (multiplicity 3)
Au: 0.0168 0.5084 0.7307 (multiplicity 9)

Entry 4:
The following is a simulated powder X-ray diffraction pattern of Pu5TeAs4. It was derived from a structure optimized by DFT (PBE), using copper Kα.
Neutral-atom scattering factors, no anomalous dispersion.

Top 8 peaks for 2θ from 15° to 90°, in order of rising 2θ:
26.0°, rel. 192, hkl 4 0 -1; 26.0°, rel. 202, hkl 1 1 1; 30.1°, rel. 1000, hkl 2 0 2; 43.0°, rel. 369, hkl 1 1 -4; 43.1°, rel. 251, hkl 5 1 0; 43.2°, rel. 129, hkl 0 2 0; 51.0°, rel. 112, hkl 2 2 -3; 53.6°, rel. 136, hkl 2 2 2

Structure:
a = 13.9355 Å, b = 4.1856 Å, c = 10.3123 Å
α = 90.00°, β = 119.55°, γ = 90.00°
Space group C2/m (No. 12)
Asymmetric unit:
Pu: 0.0000 0.0000 0.0000 (multiplicity 2)
Pu: 0.1089 0.5000 0.3941 (multiplicity 4)
Pu: 0.2047 0.0000 0.8142 (multiplicity 4)
Te: 0.0000 0.0000 0.5000 (multiplicity 2)
As: 0.0961 0.5000 0.8970 (multiplicity 4)
As: 0.2036 0.0000 0.2954 (multiplicity 4)

Entry 5:
The following is a simulated powder X-ray diffraction pattern of Dy6Er2Ga. It was derived from a structure optimized by DFT (PBE), using copper Kα.
Neutral-atom scattering factors, no anomalous dispersion.

Top 8 peaks for 2θ from 15° to 90°, in order of rising 2θ:
27.7°, rel. 414, hkl 1 1 1; 31.5°, rel. 1000, hkl 0 6 0; 33.0°, rel. 205, hkl 0 4 1; 33.3°, rel. 980, hkl 3 3 0; 33.8°, rel. 664, hkl 2 2 1; 38.0°, rel. 241, hkl 1 5 1; 38.6°, rel. 366, hkl 2 4 1; 63.2°, rel. 310, hkl 3 3 2

Structure:
a = 9.1592 Å, b = 17.0777 Å, c = 3.5110 Å
α = 90.00°, β = 90.00°, γ = 90.00°
Space group Cmmm (No. 65)
Asymmetric unit:
Dy: 0.1724 0.1621 0.0000 (multiplicity 8)
Dy: 0.2144 0.5000 0.5000 (multiplicity 4)
Er: 0.0000 0.3212 0.5000 (multiplicity 4)
Ga: 0.0000 0.0000 0.0000 (multiplicity 2)